Structure and theoretical PXRD pattern of Sc2Si4W3 (a DFT-relaxed cell (GGA-PBE, OQMD); CuKα).
Kinematic intensities with the Lorentz-polarization factor, no thermal factor.

The 8 most intense peaks (10° ≤ 2θ ≤ 90°), in order of falling intensity:
hkl	2theta	d/Å	I_rel
0 4 2	38.86	2.318	100
1 1 3	42.85	2.110	99
0 1 1	14.80	5.986	98
1 3 1	28.36	3.146	69
3 0 1	43.47	2.082	57
1 4 2	41.34	2.184	50
1 5 1	40.41	2.232	50
2 3 0	34.63	2.590	49

Cell and atoms:
```
Sc2Si4W3
1.0
6.560 0.000 0.000
0.000 12.666 0.000
0.000 0.000 6.793
Sc Si W
8 16 12
Direct
0.005 0.091 0.170
0.005 0.409 0.170
0.495 0.591 0.670
0.495 0.909 0.670
0.505 0.091 0.330
0.505 0.409 0.330
0.995 0.591 0.830
0.995 0.909 0.830
0.032 0.250 0.881
0.167 0.044 0.538
0.167 0.456 0.538
0.201 0.750 0.644
0.299 0.250 0.144
0.333 0.544 0.038
0.333 0.956 0.038
0.468 0.750 0.381
0.532 0.250 0.619
0.667 0.044 0.962
0.667 0.456 0.962
0.701 0.750 0.856
0.799 0.250 0.356
0.833 0.544 0.462
0.833 0.956 0.462
0.968 0.750 0.119
0.163 0.250 0.497
0.170 0.624 0.336
0.170 0.876 0.336
0.330 0.124 0.836
0.330 0.376 0.836
0.337 0.750 0.997
0.663 0.250 0.003
0.670 0.624 0.164
0.670 0.876 0.164
0.830 0.124 0.664
0.830 0.376 0.664
0.837 0.750 0.503
```